PrP3H10O14: calculated powder diffractogram (Cu Kα), based on a DFT-relaxed cell (PBE, the Materials Project).
Peak positions follow from Bragg's law for the DFT cell and can differ from measured ones.

Principal peaks in the range 15° ≤ 2θ ≤ 90°, in order of rising 2θ:
2θ/deg	d_spacing	I/Imax
18.6	4.761	91.6
20.2	4.396	40.7
20.7	4.296	45.1
21.6	4.109	100.0
21.8	4.085	41.4
31.0	2.883	40.1
32.4	2.766	40.0
34.1	2.631	44.2

Cell and atoms:
```
data_PrP3H10O14
_symmetry_space_group_name_H-M 'P 1'
_symmetry_Int_Tables_number 1
_symmetry_space_group_name_Hall 'P 1'
_cell_length_a 7.717
_cell_length_b 8.997
_cell_length_c 9.800
_cell_angle_alpha 78.17
_cell_angle_beta 79.09
_cell_angle_gamma 66.58
loop_
_atom_site_label
_atom_site_fract_x
_atom_site_fract_y
_atom_site_fract_z
Pr1 0.070 0.255 0.272
Pr2 0.930 0.745 0.728
P1 0.128 0.282 0.873
P2 0.135 0.077 0.663
P3 0.476 0.130 0.692
P4 0.524 0.870 0.308
P5 0.865 0.923 0.337
P6 0.872 0.718 0.127
H1 0.187 0.858 0.944
H2 0.230 0.960 0.036
H3 0.252 0.485 0.333
H4 0.276 0.351 0.466
H5 0.337 0.500 0.608
H6 0.339 0.681 0.124
H7 0.350 0.672 0.549
H8 0.370 0.409 0.131
H9 0.472 0.236 0.080
H10 0.473 0.452 0.817
H11 0.527 0.548 0.183
H12 0.528 0.764 0.920
H13 0.630 0.591 0.869
H14 0.650 0.328 0.451
H15 0.661 0.319 0.876
H16 0.663 0.500 0.392
H17 0.724 0.649 0.534
H18 0.748 0.515 0.667
H19 0.770 0.040 0.964
H20 0.813 0.142 0.056
O1 0.049 0.220 0.762
O2 0.072 0.212 0.020
O3 0.073 0.463 0.834
O4 0.076 0.149 0.521
O5 0.092 0.930 0.738
O6 0.194 0.409 0.390
O7 0.280 0.616 0.622
O8 0.282 0.854 0.001
O9 0.331 0.987 0.274
O10 0.347 0.313 0.114
O11 0.357 0.191 0.839
O12 0.363 0.027 0.658
O13 0.392 0.572 0.182
O14 0.458 0.278 0.581
O15 0.542 0.722 0.419
O16 0.608 0.428 0.818
O17 0.637 0.973 0.342
O18 0.643 0.809 0.161
O19 0.653 0.687 0.886
O20 0.669 0.013 0.726
O21 0.718 0.146 0.999
O22 0.720 0.384 0.378
O23 0.806 0.591 0.610
O24 0.908 0.070 0.262
O25 0.924 0.851 0.479
O26 0.927 0.537 0.166
O27 0.928 0.788 0.980
O28 0.951 0.780 0.238
```



RbPH2O2: calculated powder diffractogram (Cu Kα), based on a DFT-relaxed cell (PBE, the Materials Project).
Peak positions follow from Bragg's law for the DFT cell and can differ from measured ones.

Principal peaks in the range 15° ≤ 2θ ≤ 90°, in order of rising 2θ:
2θ/deg	d_spacing	I/Imax
25.5	3.498	34.1
25.6	3.483	100.0
27.7	3.226	21.3
29.0	3.075	49.5
37.2	2.416	19.5
37.9	2.372	31.3
42.7	2.120	19.5
43.7	2.069	19.9

Cell and atoms:
```
data_RbPH2O2
_symmetry_space_group_name_H-M 'P 1'
_symmetry_Int_Tables_number 1
_symmetry_space_group_name_Hall 'P 1'
_cell_length_a 8.274
_cell_length_b 6.452
_cell_length_c 7.720
_cell_angle_alpha 90.00
_cell_angle_beta 90.00
_cell_angle_gamma 90.00
loop_
_atom_site_label
_atom_site_fract_x
_atom_site_fract_y
_atom_site_fract_z
Rb1 0.131 0.250 0.139
Rb2 0.369 0.750 0.639
Rb3 0.631 0.250 0.361
Rb4 0.869 0.750 0.861
P1 0.121 0.250 0.674
P2 0.379 0.750 0.174
P3 0.621 0.250 0.826
P4 0.879 0.750 0.326
H1 0.010 0.750 0.446
H2 0.243 0.750 0.059
H3 0.257 0.250 0.559
H4 0.490 0.250 0.946
H5 0.510 0.750 0.054
H6 0.743 0.750 0.441
H7 0.757 0.250 0.941
H8 0.990 0.250 0.554
O1 0.121 0.047 0.774
O2 0.121 0.453 0.774
O3 0.379 0.547 0.274
O4 0.379 0.953 0.274
O5 0.621 0.047 0.726
O6 0.621 0.453 0.726
O7 0.879 0.547 0.226
O8 0.879 0.953 0.226
```



Rb3P3H4O12: calculated powder diffractogram (Cu Kα), based on a DFT-relaxed cell (PBE, the Materials Project).
Peak positions follow from Bragg's law for the DFT cell and can differ from measured ones.

Principal peaks in the range 15° ≤ 2θ ≤ 90°, in order of rising 2θ:
2θ/deg	d_spacing	I/Imax
22.7	3.923	63.0
24.9	3.578	73.6
25.9	3.438	49.2
27.8	3.205	76.9
28.0	3.187	100.0
28.9	3.086	73.0
30.2	2.960	66.0
32.0	2.796	80.8

Cell and atoms:
```
data_Rb3P3H4O12
_symmetry_space_group_name_H-M 'P 1'
_symmetry_Int_Tables_number 1
_symmetry_space_group_name_Hall 'P 1'
_cell_length_a 8.709
_cell_length_b 9.722
_cell_length_c 9.782
_cell_angle_alpha 60.55
_cell_angle_beta 68.27
_cell_angle_gamma 86.26
loop_
_atom_site_label
_atom_site_fract_x
_atom_site_fract_y
_atom_site_fract_z
Rb1 0.094 0.333 0.186
Rb2 0.243 0.319 0.696
Rb3 0.356 0.932 0.274
Rb4 0.644 0.068 0.726
Rb5 0.757 0.681 0.304
Rb6 0.906 0.667 0.814
P1 0.248 0.778 0.973
P2 0.414 0.695 0.701
P3 0.454 0.606 0.168
P4 0.546 0.394 0.832
P5 0.586 0.305 0.299
P6 0.752 0.222 0.027
H1 0.007 0.914 0.883
H2 0.098 0.057 0.590
H3 0.122 0.964 0.114
H4 0.287 0.118 0.482
H5 0.713 0.882 0.518
H6 0.878 0.036 0.886
H7 0.902 0.943 0.410
H8 0.993 0.086 0.117
O1 0.029 0.989 0.193
O2 0.044 0.551 0.494
O3 0.071 0.734 0.002
O4 0.184 0.087 0.477
O5 0.253 0.608 0.743
O6 0.289 0.921 0.981
O7 0.295 0.619 0.111
O8 0.380 0.804 0.792
O9 0.388 0.599 0.337
O10 0.397 0.274 0.975
O11 0.470 0.197 0.480
O12 0.479 0.428 0.197
O13 0.521 0.572 0.803
O14 0.530 0.803 0.520
O15 0.603 0.726 0.025
O16 0.612 0.401 0.663
O17 0.620 0.196 0.208
O18 0.705 0.381 0.889
O19 0.711 0.079 0.019
O20 0.747 0.392 0.257
O21 0.816 0.913 0.523
O22 0.929 0.266 0.998
O23 0.956 0.449 0.506
O24 0.971 0.011 0.807
```



Rb2PH3SO8: calculated powder diffractogram (Cu Kα), based on a DFT-relaxed cell (PBE, the Materials Project).
Peak positions follow from Bragg's law for the DFT cell and can differ from measured ones.

Principal peaks in the range 15° ≤ 2θ ≤ 90°, in order of rising 2θ:
2θ/deg	d_spacing	I/Imax
21.5	4.134	43.7
23.0	3.861	65.2
23.6	3.776	100.0
24.0	3.710	41.1
24.5	3.627	77.9
25.6	3.484	41.1
27.7	3.221	39.5
41.9	2.155	30.2

Cell and atoms:
```
data_Rb2PH3SO8
_symmetry_space_group_name_H-M 'P 1'
_symmetry_Int_Tables_number 1
_symmetry_space_group_name_Hall 'P 1'
_cell_length_a 7.761
_cell_length_b 8.289
_cell_length_c 9.192
_cell_angle_alpha 90.08
_cell_angle_beta 110.43
_cell_angle_gamma 93.89
loop_
_atom_site_label
_atom_site_fract_x
_atom_site_fract_y
_atom_site_fract_z
Rb1 0.226 0.168 0.140
Rb2 0.262 0.676 0.393
Rb3 0.738 0.324 0.607
Rb4 0.774 0.832 0.860
P1 0.307 0.716 0.956
P2 0.693 0.284 0.044
H1 0.000 0.000 0.500
H2 0.083 0.999 0.746
H3 0.358 0.472 0.716
H4 0.500 0.500 0.000
H5 0.642 0.528 0.284
H6 0.917 0.001 0.254
S1 0.258 0.194 0.600
S2 0.742 0.806 0.400
O1 0.081 0.075 0.826
O2 0.118 0.270 0.658
O3 0.152 0.040 0.497
O4 0.164 0.775 0.010
O5 0.279 0.310 0.474
O6 0.354 0.542 0.998
O7 0.401 0.807 0.863
O8 0.446 0.503 0.663
O9 0.554 0.497 0.337
O10 0.599 0.193 0.137
O11 0.646 0.458 0.002
O12 0.721 0.690 0.526
O13 0.836 0.225 0.990
O14 0.848 0.960 0.503
O15 0.882 0.730 0.342
O16 0.919 0.925 0.174
```